Record 1
Ni2Sb8Ir: computed powder X-ray diffraction pattern (Cu Kα), based on DFT lattice parameters and positions (PBE).

Largest 10 diffraction maxima, sorted by position, 2θ = 5–70°:
Position (°2θ)	I_rel
14.45	49
29.63	39
30.31	100
33.93	44
36.16	24
41.73	37
42.84	22
45.02	24
47.26	23
48.73	27

Atomic structure:
```
data_Ni2Sb8Ir
_chemical_formula_sum 'Ni4 Sb16 Ir2'
_symmetry_space_group_name_H-M 'C 1 2/m 1'
_symmetry_Int_Tables_number 12
_symmetry_space_group_name_Hall '-C 2y'
_cell_length_a 12.2605
_cell_length_b 8.6606
_cell_length_c 5.2889
_cell_angle_alpha 90.00
_cell_angle_beta 90.67
_cell_angle_gamma 90.00
loop_
_atom_site_label
_atom_site_fract_x
_atom_site_fract_y
_atom_site_fract_z
Ni1 0.1247 0.0000 0.2652
Sb1 0.0860 0.2860 0.2017
Sb2 0.0879 0.0000 0.7455
Sb3 0.1748 0.5000 0.8066
Ir1 0.0000 0.5000 0.5000
```

Record 2
ScNi6Ir: computed powder X-ray diffraction pattern (Cu Kα), based on DFT lattice parameters and positions (PBE).

Largest 10 diffraction maxima, sorted by position, 2θ = 5–70°:
Position (°2θ)	I_rel
19.15	45
27.22	19
33.49	12
38.87	47
43.68	91
48.10	100
56.14	3
59.88	11
63.48	4
66.98	7

Atomic structure:
```
data_ScNi6Ir
_chemical_formula_sum 'Sc1 Ni6 Ir1'
_symmetry_space_group_name_H-M 'P m -3'
_symmetry_Int_Tables_number 200
_symmetry_space_group_name_Hall '-P 2 2 3'
_cell_length_a 4.6340
_cell_length_b 4.6340
_cell_length_c 4.6340
_cell_angle_alpha 90.00
_cell_angle_beta 90.00
_cell_angle_gamma 90.00
loop_
_atom_site_label
_atom_site_fract_x
_atom_site_fract_y
_atom_site_fract_z
Sc1 0.0000 0.0000 0.0000
Ni1 0.0000 0.2555 0.5000
Ir1 0.5000 0.5000 0.5000
```

Record 3
ScNiIr: computed powder X-ray diffraction pattern (Cu Kα), based on DFT lattice parameters and positions (PBE).

Largest 10 diffraction maxima, sorted by position, 2θ = 5–70°:
Position (°2θ)	I_rel
22.11	100
24.95	24
36.94	16
40.88	83
42.29	37
42.59	49
45.10	42
51.03	20
55.29	19
69.23	18

Atomic structure:
```
data_ScNiIr
_chemical_formula_sum 'Sc4 Ni4 Ir4'
_symmetry_space_group_name_H-M 'I m m a'
_symmetry_Int_Tables_number 74
_symmetry_space_group_name_Hall '-I 2b 2'
_cell_length_a 4.8669
_cell_length_b 5.2825
_cell_length_c 7.1365
_cell_angle_alpha 90.00
_cell_angle_beta 90.00
_cell_angle_gamma 90.00
loop_
_atom_site_label
_atom_site_fract_x
_atom_site_fract_y
_atom_site_fract_z
Sc1 0.0000 0.2500 0.1219
Ni1 0.2500 0.2500 0.7500
Ir1 0.0000 0.0000 0.5000
```

Record 4
ScNi6Ir: computed powder X-ray diffraction pattern (Cu Kα), based on DFT lattice parameters and positions (PBE).

Largest 10 diffraction maxima, sorted by position, 2θ = 5–70°:
Position (°2θ)	I_rel
8.51	17
14.85	9
19.08	6
22.70	9
24.22	6
24.44	3
34.68	5
42.75	100
49.61	32
50.10	15

Atomic structure:
```
data_ScNi6Ir
_chemical_formula_sum 'Sc8 Ni48 Ir8'
_symmetry_space_group_name_H-M 'C m m m'
_symmetry_Int_Tables_number 65
_symmetry_space_group_name_Hall '-C 2 2'
_cell_length_a 7.2835
_cell_length_b 10.4063
_cell_length_c 10.3843
_cell_angle_alpha 90.00
_cell_angle_beta 90.00
_cell_angle_gamma 90.00
loop_
_atom_site_label
_atom_site_fract_x
_atom_site_fract_y
_atom_site_fract_z
Sc1 0.0000 0.0000 0.2500
Sc2 0.0000 0.2475 0.0000
Ni1 0.0000 0.0000 0.0000
Ni2 0.0000 0.0000 0.5000
Ni3 0.0000 0.2541 0.2565
Ni4 0.0000 0.5000 0.0000
Ni5 0.0000 0.5000 0.5000
Ni6 0.2436 0.3736 0.3774
Ni7 0.2443 0.3763 0.1283
Ir1 0.0000 0.2382 0.5000
Ir2 0.0000 0.5000 0.2514
```

Record 5
Ni5IrSe12: computed powder X-ray diffraction pattern (Cu Kα), based on DFT lattice parameters and positions (PBE).

Largest 10 diffraction maxima, sorted by position, 2θ = 5–70°:
Position (°2θ)	I_rel
16.89	100
29.74	38
33.27	100
33.38	47
38.51	38
38.65	61
50.57	31
51.09	43
51.21	40
52.57	24

Atomic structure:
```
data_Ni5IrSe12
_chemical_formula_sum 'Ni10 Ir2 Se24'
_symmetry_space_group_name_H-M 'C 1 2/m 1'
_symmetry_Int_Tables_number 12
_symmetry_space_group_name_Hall '-C 2y'
_cell_length_a 6.2869
_cell_length_b 10.8303
_cell_length_c 10.5009
_cell_angle_alpha 90.00
_cell_angle_beta 90.43
_cell_angle_gamma 90.00
loop_
_atom_site_label
_atom_site_fract_x
_atom_site_fract_y
_atom_site_fract_z
Ni1 0.0000 0.0000 0.0000
Ni2 0.0000 0.1666 0.5000
Ni3 0.0000 0.3333 0.0000
Ir1 0.0000 0.5000 0.5000
Se1 0.1551 0.0000 0.3811
Se2 0.1708 0.1657 0.1143
Se3 0.1713 0.5000 0.1151
Se4 0.1747 0.3279 0.3825
```

Record 6
Ni4IrSe: computed powder X-ray diffraction pattern (Cu Kα), based on DFT lattice parameters and positions (PBE).

Largest 8 diffraction maxima, sorted by position, 2θ = 5–70°:
Position (°2θ)	I_rel
22.88	17
26.48	10
37.80	53
44.64	100
46.74	21
59.89	4
61.61	5
68.25	19

Atomic structure:
```
data_Ni4IrSe
_chemical_formula_sum 'Ni16 Ir4 Se4'
_symmetry_space_group_name_H-M 'F -4 3 m'
_symmetry_Int_Tables_number 216
_symmetry_space_group_name_Hall 'F -4 2 3'
_cell_length_a 6.7320
_cell_length_b 6.7320
_cell_length_c 6.7320
_cell_angle_alpha 90.00
_cell_angle_beta 90.00
_cell_angle_gamma 90.00
loop_
_atom_site_label
_atom_site_fract_x
_atom_site_fract_y
_atom_site_fract_z
Ni1 0.1242 0.1242 0.3758
Ir1 0.2500 0.2500 0.7500
Se1 0.0000 0.0000 0.0000
```

Record 7
Ni2IrSe2: computed powder X-ray diffraction pattern (Cu Kα), based on DFT lattice parameters and positions (PBE).

Largest 10 diffraction maxima, sorted by position, 2θ = 5–70°:
Position (°2θ)	I_rel
18.54	32
28.61	17
34.31	42
37.59	38
39.28	85
41.57	84
42.23	100
51.80	36
59.24	19
65.75	18

Atomic structure:
```
data_Ni2IrSe2
_chemical_formula_sum 'Ni4 Ir2 Se4'
_symmetry_space_group_name_H-M 'P 4/m b m'
_symmetry_Int_Tables_number 127
_symmetry_space_group_name_Hall '-P 4 2ab'
_cell_length_a 6.7678
_cell_length_b 6.7678
_cell_length_c 3.1196
_cell_angle_alpha 90.00
_cell_angle_beta 90.00
_cell_angle_gamma 90.00
loop_
_atom_site_label
_atom_site_fract_x
_atom_site_fract_y
_atom_site_fract_z
Ni1 0.1302 0.3698 0.0000
Ir1 0.0000 0.0000 0.0000
Se1 0.1751 0.6751 0.5000
```

Record 8
SiNi6Ir: computed powder X-ray diffraction pattern (Cu Kα), based on DFT lattice parameters and positions (PBE).

Largest 10 diffraction maxima, sorted by position, 2θ = 5–70°:
Position (°2θ)	I_rel
8.75	15
15.23	10
19.67	6
23.32	9
24.97	7
32.00	7
35.61	6
43.98	100
51.19	31
51.34	16

Atomic structure:
```
data_SiNi6Ir
_chemical_formula_sum 'Si8 Ni48 Ir8'
_symmetry_space_group_name_H-M 'C m m m'
_symmetry_Int_Tables_number 65
_symmetry_space_group_name_Hall '-C 2 2'
_cell_length_a 7.1189
_cell_length_b 10.0876
_cell_length_c 10.1023
_cell_angle_alpha 90.00
_cell_angle_beta 90.00
_cell_angle_gamma 90.00
loop_
_atom_site_label
_atom_site_fract_x
_atom_site_fract_y
_atom_site_fract_z
Si1 0.0000 0.0000 0.2474
Si2 0.0000 0.2525 0.0000
Ni1 0.0000 0.0000 0.0000
Ni2 0.0000 0.0000 0.5000
Ni3 0.0000 0.2476 0.2431
Ni4 0.0000 0.5000 0.0000
Ni5 0.0000 0.5000 0.5000
Ni6 0.2434 0.1237 0.3702
Ni7 0.2469 0.1261 0.1212
Ir1 0.0000 0.2515 0.5000
Ir2 0.0000 0.5000 0.2509
```

Record 9
SmSiNiIr: computed powder X-ray diffraction pattern (Cu Kα), based on DFT lattice parameters and positions (PBE).

Largest 10 diffraction maxima, sorted by position, 2θ = 5–70°:
Position (°2θ)	I_rel
18.76	34
23.70	19
31.50	100
35.95	59
36.46	64
36.91	42
44.28	26
45.99	23
58.66	32
59.71	28

Atomic structure:
```
data_SmSiNiIr
_chemical_formula_sum 'Sm2 Si2 Ni2 Ir2'
_symmetry_space_group_name_H-M 'I m m 2'
_symmetry_Int_Tables_number 44
_symmetry_space_group_name_Hall 'I 2 -2'
_cell_length_a 3.9472
_cell_length_b 4.0908
_cell_length_c 9.4625
_cell_angle_alpha 90.00
_cell_angle_beta 90.00
_cell_angle_gamma 90.00
loop_
_atom_site_label
_atom_site_fract_x
_atom_site_fract_y
_atom_site_fract_z
Sm1 0.0000 0.0000 0.0000
Si1 0.0000 0.5000 0.2537
Ni1 0.0000 0.0000 0.3599
Ir1 0.0000 0.0000 0.6231
```

Record 10
SmSi2Ni2Ir: computed powder X-ray diffraction pattern (Cu Kα), based on DFT lattice parameters and positions (PBE).

Largest 10 diffraction maxima, sorted by position, 2θ = 5–70°:
Position (°2θ)	I_rel
19.60	53
27.85	92
33.00	12
38.67	100
39.80	58
44.74	13
52.63	14
56.70	65
57.55	19
65.12	16

Atomic structure:
```
data_SmSi2Ni2Ir
_chemical_formula_sum 'Sm1 Si2 Ni2 Ir1'
_symmetry_space_group_name_H-M 'P 4/m m m'
_symmetry_Int_Tables_number 123
_symmetry_space_group_name_Hall '-P 4 2'
_cell_length_a 4.5298
_cell_length_b 4.5298
_cell_length_c 5.4291
_cell_angle_alpha 90.00
_cell_angle_beta 90.00
_cell_angle_gamma 90.00
loop_
_atom_site_label
_atom_site_fract_x
_atom_site_fract_y
_atom_site_fract_z
Sm1 0.0000 0.0000 0.0000
Si1 0.0000 0.5000 0.5000
Ni1 0.5000 0.5000 0.2590
Ir1 0.0000 0.0000 0.5000
```

Record 11
Tb2Si3NiIr4: computed powder X-ray diffraction pattern (Cu Kα), based on DFT lattice parameters and positions (PBE).

Largest 10 diffraction maxima, sorted by position, 2θ = 5–70°:
Position (°2θ)	I_rel
26.73	23
28.15	24
32.17	46
34.69	49
35.82	100
44.21	57
48.06	21
50.78	25
57.38	23
69.57	19

Atomic structure:
```
data_Tb2Si3NiIr4
_chemical_formula_sum 'Tb2 Si3 Ni1 Ir4'
_symmetry_space_group_name_H-M 'P -4 m 2'
_symmetry_Int_Tables_number 115
_symmetry_space_group_name_Hall 'P -4 -2'
_cell_length_a 4.0971
_cell_length_b 4.0971
_cell_length_c 10.0035
_cell_angle_alpha 90.00
_cell_angle_beta 90.00
_cell_angle_gamma 90.00
loop_
_atom_site_label
_atom_site_fract_x
_atom_site_fract_y
_atom_site_fract_z
Tb1 0.0000 0.5000 0.2465
Si1 0.0000 0.0000 0.0000
Si2 0.0000 0.5000 0.6298
Ni1 0.5000 0.5000 0.0000
Ir1 0.0000 0.0000 0.5000
Ir2 0.0000 0.5000 0.8660
Ir3 0.5000 0.5000 0.5000
```

Record 12
ThSi2NiIr5: computed powder X-ray diffraction pattern (Cu Kα), based on DFT lattice parameters and positions (PBE).

Largest 10 diffraction maxima, sorted by position, 2θ = 5–70°:
Position (°2θ)	I_rel
8.55	10
25.85	74
33.07	100
36.42	45
41.49	11
45.71	52
47.84	76
53.15	10
53.26	43
66.64	17

Atomic structure:
```
data_ThSi2NiIr5
_chemical_formula_sum 'Th1 Si2 Ni1 Ir5'
_symmetry_space_group_name_H-M 'P 4/m m m'
_symmetry_Int_Tables_number 123
_symmetry_space_group_name_Hall '-P 4 2'
_cell_length_a 3.9694
_cell_length_b 3.9694
_cell_length_c 10.3392
_cell_angle_alpha 90.00
_cell_angle_beta 90.00
_cell_angle_gamma 90.00
loop_
_atom_site_label
_atom_site_fract_x
_atom_site_fract_y
_atom_site_fract_z
Th1 0.0000 0.0000 0.0000
Si1 0.5000 0.5000 0.2295
Ni1 0.0000 0.0000 0.5000
Ir1 0.0000 0.5000 0.3538
Ir2 0.5000 0.5000 0.0000
```